La5Ho3Te8: calculated powder X-ray diffraction pattern (λ = 1.5418 Å (Cu Kα)), based on a structure optimized by DFT (GGA-PBE).

```
La5Ho3Te8
1.0
4.476 2.584 7.383
-4.476 2.584 7.383
0.000 -5.169 7.383
La Ho Te
5 3 8
Direct
0.000 0.000 0.000
0.000 0.500 0.500
0.500 0.000 0.500
0.500 0.500 0.000
0.500 0.500 0.500
0.000 0.000 0.500
0.000 0.500 0.000
0.500 0.000 0.000
0.237 0.750 0.750
0.244 0.244 0.244
0.250 0.250 0.763
0.250 0.763 0.250
0.750 0.237 0.750
0.750 0.750 0.237
0.756 0.756 0.756
0.763 0.250 0.250
```

Main lines, by angle (10 to 90 degrees two-theta):
2θ = 28.10°, I 100.0; 2θ = 40.02°, I 37.8; 2θ = 40.30°, I 38.0; 2θ = 49.37°, I 6.7; 2θ = 49.85°, I 20.3; 2θ = 58.09°, I 12.6; 2θ = 65.55°, I 16.8; 2θ = 65.95°, I 17.3; 2θ = 72.50°, I 6.0; 2θ = 73.07°, I 12.5; 2θ = 73.26°, I 6.4; 2θ = 87.09°, I 4.1



AsP3Pb2O16: calculated powder X-ray diffraction pattern (λ = 1.5418 Å (Cu Kα)), based on a structure optimized by DFT (GGA-PBE).

```
AsP3Pb2O16
1.0
5.476 0.000 0.000
0.964 7.783 0.000
0.881 3.558 7.938
As P Pb O
1 3 2 16
Direct
0.000 0.000 0.000
0.429 0.169 0.363
0.477 0.582 0.480
0.860 0.605 0.881
0.436 0.304 0.907
0.941 0.882 0.451
0.047 0.013 0.186
0.053 0.438 0.908
0.078 0.757 0.026
0.203 0.636 0.509
0.224 0.047 0.465
0.236 0.109 0.862
0.316 0.363 0.383
0.480 0.199 0.179
0.503 0.503 0.331
0.574 0.421 0.641
0.595 0.547 0.904
0.641 0.745 0.400
0.673 0.106 0.454
0.716 0.071 0.923
0.850 0.668 0.039
0.900 0.784 0.722
```

Main lines, by angle (10 to 90 degrees two-theta):
2θ = 12.89°, I 100.0; 2θ = 19.68°, I 54.6; 2θ = 19.89°, I 16.9; 2θ = 20.69°, I 17.1; 2θ = 21.48°, I 76.2; 2θ = 22.40°, I 71.5; 2θ = 26.48°, I 31.6; 2θ = 28.81°, I 21.5; 2θ = 29.90°, I 20.8; 2θ = 33.01°, I 20.0; 2θ = 34.35°, I 17.4; 2θ = 34.88°, I 18.6



VGeCl: calculated powder X-ray diffraction pattern (λ = 1.5418 Å (Cu Kα)), based on a structure optimized by DFT (GGA-PBE).

```
VGeCl
1.0
6.214 0.000 0.000
0.000 5.875 0.000
-3.101 0.000 6.508
V Ge Cl
4 4 4
Direct
0.008 0.000 0.267
0.490 0.503 0.731
0.510 0.003 0.269
0.992 0.500 0.733
0.133 0.799 0.002
0.381 0.302 0.000
0.619 0.802 0.000
0.867 0.299 0.998
0.116 0.633 0.483
0.381 0.135 0.513
0.619 0.635 0.487
0.884 0.133 0.517
```

Main lines, by angle (10 to 90 degrees two-theta):
2θ = 13.61°, I 24.9; 2θ = 20.36°, I 52.6; 2θ = 27.41°, I 19.9; 2θ = 31.92°, I 19.8; 2θ = 33.47°, I 63.4; 2θ = 35.47°, I 100.0; 2θ = 41.41°, I 43.4; 2θ = 43.10°, I 65.8; 2θ = 53.83°, I 14.2; 2θ = 55.46°, I 31.2; 2θ = 56.56°, I 14.6; 2θ = 83.23°, I 20.0



Zr14PaTi: calculated powder X-ray diffraction pattern (λ = 1.5418 Å (Cu Kα)), based on a structure optimized by DFT (GGA-PBE).

```
Zr14PaTi
1.0
10.729 0.000 0.000
0.000 5.296 3.197
0.000 -5.296 3.197
Zr Pa Ti
14 1 1
Direct
0.000 0.000 0.000
0.000 0.499 0.499
0.000 0.500 0.999
0.000 0.999 0.500
0.251 0.250 0.752
0.251 0.752 0.250
0.256 0.246 0.246
0.261 0.757 0.757
0.500 0.508 0.994
0.500 0.994 0.508
0.739 0.757 0.757
0.744 0.246 0.246
0.749 0.250 0.752
0.749 0.752 0.250
0.500 0.502 0.502
0.500 0.015 0.015
```

Main lines, by angle (10 to 90 degrees two-theta):
2θ = 18.20°, I 7.0; 2θ = 33.41°, I 34.5; 2θ = 33.85°, I 32.0; 2θ = 36.87°, I 100.0; 2θ = 48.30°, I 23.4; 2θ = 57.68°, I 6.6; 2θ = 61.99°, I 21.0; 2θ = 62.55°, I 20.4; 2θ = 68.32°, I 8.0; 2θ = 68.58°, I 7.7; 2θ = 78.47°, I 10.5; 2θ = 82.50°, I 9.0



Mg3Zn3Pt2: calculated powder X-ray diffraction pattern (λ = 1.5418 Å (Cu Kα)), based on a structure optimized by DFT (GGA-PBE).

```
Mg3Zn3Pt2
1.0
1.885 -4.827 0.000
1.885 4.827 0.000
0.000 0.000 15.735
Mg Zn Pt
6 6 4
Direct
0.055 0.945 0.611
0.055 0.945 0.889
0.333 0.667 0.750
0.667 0.333 0.250
0.945 0.055 0.111
0.945 0.055 0.389
0.361 0.639 0.526
0.361 0.639 0.974
0.387 0.613 0.250
0.613 0.387 0.750
0.639 0.361 0.026
0.639 0.361 0.474
0.232 0.768 0.122
0.232 0.768 0.378
0.768 0.232 0.622
0.768 0.232 0.878
```

Main lines, by angle (10 to 90 degrees two-theta):
2θ = 18.38°, I 100.0; 2θ = 25.99°, I 90.3; 2θ = 29.29°, I 48.7; 2θ = 30.63°, I 33.2; 2θ = 34.22°, I 36.4; 2θ = 37.18°, I 30.9; 2θ = 38.41°, I 41.7; 2θ = 40.67°, I 67.9; 2θ = 44.02°, I 48.8; 2θ = 48.06°, I 43.9; 2θ = 48.27°, I 29.0; 2θ = 67.37°, I 27.0



Li4ScPb5: calculated powder X-ray diffraction pattern (λ = 1.5418 Å (Cu Kα)), based on a structure optimized by DFT (GGA-PBE).

```
Li4ScPb5
1.0
3.542 0.000 0.000
0.000 3.542 0.000
0.000 0.000 18.346
Li Sc Pb
4 1 5
Direct
0.000 0.000 0.097
0.000 0.000 0.293
0.000 0.000 0.707
0.000 0.000 0.903
0.000 0.000 0.500
0.500 0.500 0.000
0.500 0.500 0.196
0.500 0.500 0.390
0.500 0.500 0.610
0.500 0.500 0.804
```

Main lines, by angle (10 to 90 degrees two-theta):
2θ = 24.26°, I 48.7; 2θ = 25.14°, I 93.8; 2θ = 35.22°, I 100.0; 2θ = 35.85°, I 49.8; 2θ = 43.76°, I 42.9; 2θ = 51.60°, I 17.9; 2θ = 56.49°, I 17.8; 2θ = 57.80°, I 19.2; 2θ = 58.24°, I 19.8; 2θ = 62.78°, I 16.8; 2θ = 64.02°, I 36.3; 2θ = 80.03°, I 13.7



Cs3Tc2N4: calculated powder X-ray diffraction pattern (λ = 1.5418 Å (Cu Kα)), based on a structure optimized by DFT (GGA-PBE).

```
Cs3Tc2N4
1.0
-3.122 9.110 4.351
3.122 -9.110 4.351
3.122 9.110 -4.351
Cs Tc N
6 4 8
Direct
0.164 0.060 0.105
0.212 0.462 0.750
0.455 0.060 0.395
0.545 0.940 0.605
0.788 0.538 0.250
0.836 0.940 0.895
0.108 0.637 0.471
0.335 0.363 0.971
0.665 0.637 0.029
0.892 0.363 0.529
0.141 0.569 0.572
0.201 0.000 0.701
0.201 0.500 0.201
0.496 0.569 0.928
0.504 0.431 0.072
0.799 0.000 0.299
0.799 0.500 0.799
0.859 0.431 0.428
```

Main lines, by angle (10 to 90 degrees two-theta):
2θ = 20.41°, I 17.5; 2θ = 25.43°, I 22.4; 2θ = 26.30°, I 100.0; 2θ = 28.59°, I 38.3; 2θ = 29.02°, I 14.3; 2θ = 34.26°, I 11.7; 2θ = 35.39°, I 12.6; 2θ = 35.52°, I 19.2; 2θ = 36.05°, I 14.8; 2θ = 46.65°, I 13.5; 2θ = 49.26°, I 17.5; 2θ = 53.44°, I 11.4



Tb6Pr5In: calculated powder X-ray diffraction pattern (λ = 1.5418 Å (Cu Kα)), based on a structure optimized by DFT (GGA-PBE).

```
Tb6Pr5In
1.0
-2.531 5.085 7.616
2.531 -5.085 7.616
2.531 5.085 -7.616
Tb Pr In
6 5 1
Direct
0.081 0.336 0.744
0.243 0.000 0.243
0.408 0.664 0.744
0.592 0.336 0.256
0.757 0.000 0.757
0.919 0.664 0.256
0.167 0.167 0.000
0.336 0.836 0.500
0.500 0.500 0.000
0.664 0.164 0.500
0.833 0.833 0.000
0.000 0.500 0.500
```

Main lines, by angle (10 to 90 degrees two-theta):
2θ = 30.51°, I 100.0; 2θ = 35.33°, I 33.7; 2θ = 35.47°, I 16.8; 2θ = 50.87°, I 23.8; 2θ = 50.95°, I 11.9; 2θ = 60.45°, I 28.0; 2θ = 60.64°, I 14.2; 2θ = 63.51°, I 12.1; 2θ = 82.83°, I 5.7; 2θ = 82.99°, I 11.5; 2θ = 85.46°, I 7.9; 2θ = 85.79°, I 5.4